For CaAc2CoO5, a crystal structure in Alexandria, relaxed with PBE+U gives the simulated X-ray powder pattern in this record (Cu Kα (weighted mean of Kα1 and Kα2)).
Intensities are scaled so that the largest is 100.

```
data_CaAc2CoO5
_chemical_formula_sum 'Ca2 Ac4 Co2 O10'
_symmetry_space_group_name_H-M 'P 4/m b m'
_symmetry_Int_Tables_number 127
_symmetry_space_group_name_Hall '-P 4 2ab'
_cell_length_a 7.033
_cell_length_b 7.033
_cell_length_c 5.735
_cell_angle_alpha 90.00
_cell_angle_beta 90.00
_cell_angle_gamma 90.00
loop_
_atom_site_label
_atom_site_fract_x
_atom_site_fract_y
_atom_site_fract_z
Ca1 0.000 0.000 0.000
Ac1 0.174 0.326 0.500
Co1 0.000 0.500 0.000
O1 0.000 0.000 0.500
O2 0.138 0.638 0.227
```

Main lines, by angle (2θ = 10–90°):
2theta  d_spacing  Rel. int.  (hkl)
15.5  5.735  78  0 0 1
28.4  3.145  47  2 1 0
29.8  2.998  67  2 0 1
31.2  2.868  32  0 0 2
32.5  2.758  100  2 1 1
42.7  2.119  60  2 1 2
43.7  2.074  23  3 1 1
54.6  1.680  19  2 0 3
56.3  1.634  46  4 1 1
63.5  1.466  20  4 1 2